1.
Diffraction record for Er6HPb3. The powder XRD pattern is theoretical, not measured: it uses a GGA-PBE-relaxed structure and Cu Ka.

Cell and atoms:
```
data_Er6HPb3
_cell_length_a 13.008
_cell_length_b 16.119
_cell_length_c 4.828
_cell_angle_alpha 90.00
_cell_angle_beta 90.00
_cell_angle_gamma 90.00
_space_group_name_H-M_alt 'C m c m'
_space_group_IT_number 63
_space_group_name_Hall '-C 2c 2'
loop_
_atom_site_label
_atom_site_type_symbol
_atom_site_fract_x
_atom_site_fract_y
_atom_site_fract_z
_atom_site_occupancy
Er1 Er 0.000 0.076 0.250 1
Er2 Er 0.000 0.252 0.750 1
Er3 Er 0.168 0.251 0.250 1
Er4 Er 0.168 0.422 0.750 1
H1 H 0.000 0.212 0.250 1
Pb1 Pb 0.000 0.406 0.250 1
Pb2 Pb 0.164 0.098 0.750 1
```

The 12 most intense peaks (2θ from 15° to 90°), by intensity:
| Position (°2θ) | d (Å) | I_rel | hkl |
| --- | --- | --- | --- |
| 32.37 | 2.766 | 100 | 3 3 1 |
| 33.35 | 2.687 | 21 | 0 6 0 |
| 37.25 | 2.414 | 18 | 0 0 2 |
| 58.99 | 1.566 | 14 | 3 9 1 |
| 64.11 | 1.452 | 14 | 3 3 3 |
| 50.85 | 1.796 | 13 | 0 6 2 |
| 41.66 | 2.168 | 13 | 6 0 0 |
| 67.76 | 1.383 | 11 | 6 6 2 |
| 70.20 | 1.341 | 11 | 9 3 1 |
| 54.38 | 1.687 | 11 | 6 6 0 |
| 57.11 | 1.613 | 11 | 6 0 2 |
| 83.84 | 1.154 | 6 | 3 9 3 |

2.
Diffraction record for Er3HPb. The powder XRD pattern is theoretical, not measured: it uses a GGA-PBE-relaxed structure and Cu Ka.

Cell and atoms:
```
data_Er3HPb
_cell_length_a 6.514
_cell_length_b 11.149
_cell_length_c 6.625
_cell_angle_alpha 90.00
_cell_angle_beta 100.57
_cell_angle_gamma 90.00
_space_group_name_H-M_alt 'C 1 c 1'
_space_group_IT_number 9
loop_
_space_group_symop_operation_xyz
'x,y,z'
'x,-y,z+1/2'
'x+1/2,y+1/2,z'
'x+1/2,-y+1/2,z+1/2'
loop_
_atom_site_label
_atom_site_type_symbol
_atom_site_fract_x
_atom_site_fract_y
_atom_site_fract_z
_atom_site_occupancy
Er1 Er 0.000 0.030 0.000 1
Er2 Er 0.029 0.464 0.163 1
Er3 Er 0.244 0.265 0.811 1
H1 H 0.201 0.441 0.921 1
Pb1 Pb 0.252 0.207 0.324 1
```

The 12 most intense peaks (2θ from 15° to 90°), by intensity:
| Position (°2θ) | d (Å) | I_rel | hkl |
| --- | --- | --- | --- |
| 32.24 | 2.776 | 100 | 2 2 0 |
| 31.83 | 2.812 | 63 | 0 2 2 |
| 35.53 | 2.526 | 34 | 2 0 -2 |
| 32.12 | 2.786 | 34 | 0 4 0 |
| 35.02 | 2.562 | 26 | 0 4 1 |
| 34.06 | 2.632 | 24 | 1 1 2 |
| 37.46 | 2.401 | 17 | 1 3 -2 |
| 29.51 | 3.027 | 15 | 1 1 -2 |
| 43.10 | 2.099 | 14 | 2 0 2 |
| 62.00 | 1.497 | 13 | 4 2 -2 |
| 48.64 | 1.872 | 13 | 2 4 -2 |
| 29.84 | 2.994 | 12 | 1 3 -1 |